Simulated PXRD pattern of Na6Ni7O14 for Cu Kα (λ = 1.5418 Å), from DFT lattice parameters and positions (GGA+U).
Peak positions follow from Bragg's law for the DFT cell and can differ from measured ones.

Peak list (10 most intense, 2θ = 5–70°, by angle)
- d 5.339, I = 95, (0 0 3)
- d 2.669, I = 19, (0 0 6)
- d 2.522, I = 21, (2 1 1)
- d 2.433, I = 34, (3 -2 2)
- d 2.153, I = 100, (2 1 4)
- d 1.704, I = 16, (2 1 7)
- d 1.576, I = 27, (3 -2 8)
- d 1.475, I = 26, (1 4 0)
- d 1.421, I = 11, (1 4 3)
- d 1.357, I = 9, (2 1 10)

```
data_Na6Ni7O14
_chemical_formula_sum 'Na18 Ni21 O42'
_cell_length_a 7.8029
_cell_length_b 7.8029
_cell_length_c 16.0160
_cell_angle_alpha 90.00
_cell_angle_beta 90.00
_cell_angle_gamma 120.00
_space_group_name_H-M_alt 'R -3'
_space_group_IT_number 148
_space_group_name_Hall '-R 3'
loop_
_atom_site_label
_atom_site_type_symbol
_atom_site_fract_x
_atom_site_fract_y
_atom_site_fract_z
_atom_site_occupancy
Na1 Na 0.0547 0.2509 0.1698 1
Ni1 Ni 0.0000 0.0000 0.0000 1
Ni2 Ni 0.0531 0.2418 0.6657 1
O1 O 0.0000 0.0000 0.2695 1
O2 O 0.0339 0.2192 0.9344 1
O3 O 0.0395 0.2456 0.3944 1
```